Calculated XRD peak list
Compound: Nd4AlCo2
Radiation: a wavelength of 1.5418 Å
Structure: the PBE geometry in Alexandria
Intensities are scaled so that the largest is 1000.

Structure:
```
data_Nd4AlCo2
_cell_length_a 5.4818
_cell_length_b 5.7133
_cell_length_c 12.6416
_cell_angle_alpha 90.07
_cell_angle_beta 90.12
_cell_angle_gamma 110.75
_symmetry_space_group_name_H-M 'P -1'
_symmetry_Int_Tables_number 2
_symmetry_space_group_name_Hall '-P 1'
loop_
_atom_site_label
_atom_site_type_symbol
_atom_site_fract_x
_atom_site_fract_y
_atom_site_fract_z
Nd1 Nd 0.0000 0.0000 0.0000
Nd2 Nd 0.0000 0.0000 0.5000
Nd3 Nd 0.3283 0.7943 0.2501
Nd4 Nd 0.3763 0.6132 0.8898
Nd5 Nd 0.3777 0.6176 0.6090
Al1 Al 0.0398 0.2108 0.2497
Co1 Co 0.1446 0.4748 0.4175
Co2 Co 0.1447 0.4761 0.0820
```

Peak list (10 most intense, 5 to 70 degrees two-theta, by angle)
two_theta  intensity  index
22.33  286  1 0 2
23.92  421  -1 1 2
26.95  469  0 1 -3
27.40  225  1 0 3
28.07  465  1 1 0
32.94  1000  2 -1 0
33.75  311  -2 1 1
36.52  301  0 2 -2
48.97  315  -2 2 4
56.41  205  -1 3 4